# NaSrMg6
Theoretical powder diffraction line list, CuKα. Input: a DFT-relaxed cell (GGA-PBE, the Materials Project).
Peak positions follow from Bragg's law for the DFT cell and can differ from measured ones.

Structure:
Cell: 5.421 6.647 12.349 Å, 90.00 90.00 90.00°
Space group Amm2 (No. 38)
Inequivalent atoms, fractional coordinates:
Na 0.000 0.000 0.000 x2
Sr 0.000 0.000 0.504 x2
Mg 0.000 0.246 0.753 x4
Mg 0.500 0.000 0.165 x2
Mg 0.500 0.000 0.674 x2
Mg 0.500 0.244 0.900 x4

Principal peaks in the range 2θ = 10–90°, in order of rising 2θ:
15.14 deg, rel. 28.0; 22.35 deg, rel. 27.2; 30.55 deg, rel. 34.6; 33.05 deg, rel. 41.0; 33.40 deg, rel. 66.7; 34.84 deg, rel. 100.0; 45.62 deg, rel. 22.1; 52.28 deg, rel. 19.5; 60.18 deg, rel. 21.5; 63.26 deg, rel. 21.4

# CuP10
Theoretical powder diffraction line list, CuKα. Input: a DFT-relaxed cell (GGA-PBE, the Materials Project).
Peak positions follow from Bragg's law for the DFT cell and can differ from measured ones.

Structure:
Cell: 7.247 11.600 11.939 Å, 67.73 83.56 84.05°
Space group P-1 (No. 2)
Inequivalent atoms, fractional coordinates:
Cu 0.224 0.325 0.255 x2
Cu 0.230 0.619 0.966 x2
P 0.058 0.047 0.191 x2
P 0.058 0.818 0.418 x2
P 0.064 0.330 0.963 x2
P 0.070 0.600 0.699 x2
P 0.165 0.395 0.764 x2
P 0.170 0.131 0.000 x2
P 0.175 0.626 0.507 x2
P 0.189 0.855 0.232 x2
P 0.224 0.936 0.477 x2
P 0.236 0.110 0.295 x2
P 0.250 0.405 0.045 x2
P 0.251 0.702 0.756 x2
P 0.474 0.405 0.769 x2
P 0.476 0.138 0.014 x2
P 0.481 0.646 0.512 x2
P 0.486 0.927 0.791 x2
P 0.492 0.659 0.032 x2
P 0.494 0.388 0.294 x2
P 0.495 0.150 0.557 x2
P 0.496 0.874 0.251 x2

Principal peaks in the range 2θ = 10–90°, in order of rising 2θ:
14.36 deg, rel. 72.8; 18.32 deg, rel. 34.7; 27.58 deg, rel. 67.9; 28.96 deg, rel. 100.0; 31.31 deg, rel. 29.8; 32.52 deg, rel. 96.7; 32.91 deg, rel. 32.3; 33.46 deg, rel. 77.3; 37.55 deg, rel. 38.7; 51.68 deg, rel. 32.8

# LiPdN
Theoretical powder diffraction line list, CuKα. Input: a DFT-relaxed cell (GGA-PBE, the Materials Project).
Peak positions follow from Bragg's law for the DFT cell and can differ from measured ones.

Structure:
Cell: 3.009 3.009 4.003 Å, 90.00 90.00 90.00°
Space group P4/mmm (No. 123)
Inequivalent atoms, fractional coordinates:
Li 0.000 0.000 0.000 x1
Pd 0.500 0.500 0.500 x1
N 0.000 0.000 0.500 x1

Principal peaks in the range 2θ = 10–90°, in order of rising 2θ:
22.21 deg, rel. 100.0; 29.69 deg, rel. 54.0; 37.39 deg, rel. 73.2; 42.49 deg, rel. 40.2; 45.31 deg, rel. 16.6; 48.46 deg, rel. 45.5; 55.11 deg, rel. 19.8; 63.86 deg, rel. 22.6; 66.39 deg, rel. 16.8; 74.38 deg, rel. 20.1

# Y3ReO8
Theoretical powder diffraction line list, CuKα. Input: a DFT-relaxed cell (GGA-PBE, the Materials Project).
Peak positions follow from Bragg's law for the DFT cell and can differ from measured ones.

Structure:
Cell: 7.293 6.058 14.565 Å, 90.00 111.50 90.00°
Space group P2_1/c (No. 14)
Inequivalent atoms, fractional coordinates:
Y 0.094 0.240 0.202 x4
Y 0.160 0.198 0.445 x4
Y 0.392 0.689 0.333 x4
Re 0.321 0.745 0.090 x4
O 0.084 0.695 0.980 x4
O 0.148 0.030 0.842 x4
O 0.168 0.644 0.170 x4
O 0.187 0.530 0.827 x4
O 0.249 0.045 0.097 x4
O 0.380 0.054 0.588 x4
O 0.467 0.206 0.786 x4
O 0.475 0.696 0.519 x4

Principal peaks in the range 2θ = 10–90°, in order of rising 2θ:
19.65 deg, rel. 24.4; 24.66 deg, rel. 12.8; 28.80 deg, rel. 20.3; 29.49 deg, rel. 32.8; 30.21 deg, rel. 100.0; 36.84 deg, rel. 15.9; 44.16 deg, rel. 15.9; 52.77 deg, rel. 18.5; 54.01 deg, rel. 15.0; 56.72 deg, rel. 13.0

# Ba2YMgCu3O7
Theoretical powder diffraction line list, CuKα. Input: a DFT-relaxed cell (GGA-PBE, the Materials Project).
Peak positions follow from Bragg's law for the DFT cell and can differ from measured ones.

Structure:
Cell: 3.763 13.171 4.163 Å, 90.00 90.00 90.00°
Space group Pmm2 (No. 25)
Inequivalent atoms, fractional coordinates:
Ba 0.000 0.230 0.000 x2
Y 0.000 0.500 0.023 x1
Mg 0.000 0.000 0.299 x1
Cu 0.500 0.000 0.691 x1
Cu 0.500 0.390 0.521 x2
O 0.000 0.389 0.526 x2
O 0.500 0.000 0.161 x1
O 0.500 0.144 0.634 x2
O 0.500 0.389 0.023 x2

Principal peaks in the range 2θ = 10–90°, in order of rising 2θ:
25.31 deg, rel. 35.7; 27.30 deg, rel. 40.1; 29.57 deg, rel. 37.6; 31.31 deg, rel. 39.4; 32.06 deg, rel. 100.0; 34.73 deg, rel. 71.7; 36.25 deg, rel. 56.6; 48.38 deg, rel. 39.6; 57.85 deg, rel. 36.1; 60.92 deg, rel. 26.3

# Ce3IrI3
Theoretical powder diffraction line list, CuKα. Input: a DFT-relaxed cell (GGA-PBE, the Materials Project).
Peak positions follow from Bragg's law for the DFT cell and can differ from measured ones.

Structure:
Cell: 12.480 12.480 12.480 Å, 90.00 90.00 90.00°
Space group I4_132 (No. 214)
Inequivalent atoms, fractional coordinates:
Ce 0.102 0.352 0.125 x24
Ir 0.125 0.125 0.125 x8
I 0.115 0.135 0.625 x24

Principal peaks in the range 2θ = 10–90°, in order of rising 2θ:
10.02 deg, rel. 37.6; 26.73 deg, rel. 9.1; 28.61 deg, rel. 100.0; 40.91 deg, rel. 68.4; 50.68 deg, rel. 22.1; 53.99 deg, rel. 10.7; 58.21 deg, rel. 9.4; 59.23 deg, rel. 9.2; 67.08 deg, rel. 22.9; 74.49 deg, rel. 15.4

# TbMnFe
Theoretical powder diffraction line list, CuKα. Input: a DFT-relaxed cell (GGA-PBE, the Materials Project).
Peak positions follow from Bragg's law for the DFT cell and can differ from measured ones.

Structure:
Cell: 5.088 5.210 7.266 Å, 90.00 90.00 90.00°
Space group Imma (No. 74)
Inequivalent atoms, fractional coordinates:
Tb 0.000 0.250 0.123 x4
Mn 0.000 0.000 0.500 x4
Fe 0.250 0.250 0.750 x4

Principal peaks in the range 2θ = 10–90°, in order of rising 2θ:
21.32 deg, rel. 20.8; 34.43 deg, rel. 26.9; 34.89 deg, rel. 100.0; 35.28 deg, rel. 23.3; 40.85 deg, rel. 73.7; 41.10 deg, rel. 38.5; 41.28 deg, rel. 33.9; 41.41 deg, rel. 71.7; 61.97 deg, rel. 19.0; 73.68 deg, rel. 31.7

# Ho3Co2Ge4
Theoretical powder diffraction line list, CuKα. Input: a DFT-relaxed cell (GGA-PBE, the Materials Project).
Peak positions follow from Bragg's law for the DFT cell and can differ from measured ones.

Structure:
Cell: 10.560 4.156 7.976 Å, 90.00 107.61 90.00°
Space group C2/m (No. 12)
Inequivalent atoms, fractional coordinates:
Ho 0.000 0.000 0.000 x2
Ho 0.124 0.500 0.692 x4
Co 0.190 0.500 0.370 x4
Ge 0.098 0.000 0.401 x4
Ge 0.210 0.500 0.080 x4

Principal peaks in the range 2θ = 10–90°, in order of rising 2θ:
24.73 deg, rel. 43.2; 33.57 deg, rel. 72.6; 34.35 deg, rel. 77.4; 34.47 deg, rel. 32.6; 35.08 deg, rel. 83.1; 35.42 deg, rel. 40.6; 41.05 deg, rel. 22.1; 43.54 deg, rel. 100.0; 56.70 deg, rel. 26.0; 66.07 deg, rel. 20.5